Record 1
Simulated XRD peak list of Li2Ti2O5 for a wavelength of 1.5418 Å, from DFT lattice parameters and positions (PBE).
Lines closer than 0.1° are merged.

Top 10 peaks for 2θ from 5° to 70°, low angle first:
hkl  d/Å  intensity
1 1 0  5.755  19
1 3 0  4.010  56
0 4 0  3.953  53
1 1 1  3.877  100
0 0 2  2.624  28
2 2 1  2.523  27
1 5 1  2.481  17
1 7 0  2.122  13
3 3 0  1.918  14
2 2 3  1.495  16

a b c (Å): 6.1782 15.8131 5.2471
angles (deg): 90.00 90.00 90.00
Space group Ccc2 (No. 37)
One atom of each set of equivalent atoms:
Li: 0.1483 0.0554 0.0000 x8
Ti: 0.1563 0.3572 0.4997 x8
O: 0.1159 0.3747 0.8480 x8
O: 0.1591 0.0667 0.3846 x8
O: 0.2500 0.2500 0.4249 x4

Record 2
Simulated XRD peak list of LiTi4O6 for a wavelength of 1.5418 Å, from DFT lattice parameters and positions (PBE).
Lines closer than 0.1° are merged.

Top 10 peaks for 2θ from 5° to 70°, low angle first:
hkl  d/Å  intensity
0 0 1  7.633  45
1 0 -1  4.883  100
2 0 -1  2.577  18
1 1 0  2.503  62
1 1 1  2.270  28
1 1 -3  1.951  65
2 0 2  1.814  21
2 1 -3  1.721  25
1 1 3  1.655  27
3 1 -1  1.474  29

a b c (Å): 5.1550 2.9139 8.0468
angles (deg): 90.00 108.45 90.00
Space group Pm (No. 6)
One atom of each set of equivalent atoms:
Li: 0.0000 0.0000 0.0000 x1
Ti: 0.3758 0.5000 0.5671 x1
Ti: 0.4625 0.5000 0.9149 x1
Ti: 0.7434 0.0000 0.2523 x1
Ti: 0.8320 0.0000 0.5964 x1
O: 0.0959 0.5000 0.7374 x1
O: 0.1056 0.0000 0.4388 x1
O: 0.3817 0.0000 0.0621 x1
O: 0.5812 0.0000 0.7614 x1
O: 0.6351 0.5000 0.4082 x1
O: 0.8379 0.5000 0.0969 x1